For La3YAl8, a PBE-relaxed structure gives the calculated PXRD pattern in this record (λ = 1.5418 Å (Cu Kα)).
Lines closer than 0.1° are merged.

Most intense lines, 2θ = 10–80°, low angle first:
hkl, 2theta, I (rel.)
1 0 0, 17.96, 34.0
1 1 0, 31.37, 70.9
1 0 3, 33.90, 100.0
1 1 2, 36.88, 69.5
0 2 1, 37.66, 35.8
2 1 3, 57.47, 41.6

Atomic structure:
```
La3YAl8
1.0
5.7033 0.0000 0.0000
-2.8517 4.9392 0.0000
0.0000 0.0000 9.3924
La Y Al
3 1 8
Direct
0.0000 0.0000 0.0000 La
0.0000 0.0000 0.3614 La
0.3333 0.6667 0.8646 La
0.3333 0.6667 0.4987 Y
0.0094 0.5047 0.1842 Al
0.3248 0.1624 0.6756 Al
0.4953 0.5047 0.1842 Al
0.4953 0.9906 0.1842 Al
0.6667 0.3333 0.4315 Al
0.6667 0.3333 0.9266 Al
0.8376 0.1624 0.6756 Al
0.8376 0.6752 0.6756 Al
```